Entry 1:
Starting from the PBE geometry in the Materials Project, the PXRD pattern of PtN2Cl2 was calculated for CuKα.
Kinematic intensities with the Lorentz-polarization factor, no thermal factor.

Top 12 peaks for 2θ from 10° to 90°, low angle first:
Position (°2θ)	I (rel.)
14.13	100
15.34	81
20.63	36
21.20	32
25.58	46
26.41	45
30.09	17
30.35	17
31.26	14
32.89	20
33.82	20
45.79	19

a = 5.7822 Å, b = 6.6282 Å, c = 7.1434 Å
α = 108.95°, β = 92.03°, γ = 90.81°
Sites, in units of the cell vectors:
1 Pt 0.0205 0.0114 0.2502
2 Pt 0.9795 0.9886 0.7498
3 N 0.1075 0.2831 0.3178
4 N 0.2480 0.8254 0.2018
5 N 0.7520 0.1746 0.7982
6 N 0.8925 0.7169 0.6822
7 Cl 0.2071 0.3058 0.8197
8 Cl 0.3413 0.8065 0.7025
9 Cl 0.6587 0.1935 0.2975
10 Cl 0.7929 0.6942 0.1803

=====

Entry 2:
Starting from the PBE geometry in the Materials Project, the PXRD pattern of PtN2Cl2 was calculated for CuKα.
Kinematic intensities with the Lorentz-polarization factor, no thermal factor.

Top 12 peaks for 2θ from 10° to 90°, low angle first:
Position (°2θ)	I (rel.)
13.61	100
20.70	52
22.24	76
22.67	36
25.33	33
27.68	52
34.03	33
37.49	30
37.62	24
42.43	20
45.78	12
49.98	14

a = 6.6606 Å, b = 4.4111 Å, c = 8.7856 Å
α = 90.00°, β = 102.40°, γ = 90.00°
Sites, in units of the cell vectors:
1 Pt 0.0000 0.0000 0.0000
2 Pt 0.0000 0.5000 0.5000
3 N 0.2239 0.2456 0.0942
4 N 0.2239 0.2544 0.5942
5 N 0.7761 0.7456 0.4058
6 N 0.7761 0.7544 0.9058
7 Cl 0.2558 0.6180 0.1031
8 Cl 0.2558 0.8820 0.6031
9 Cl 0.7442 0.1180 0.3969
10 Cl 0.7442 0.3820 0.8969